For Ac2Al3Zn5, DFT lattice parameters and positions (GGA-PBE) gives the computed powder X-ray diffraction pattern in this record (Cu Kα).
Peak positions follow from Bragg's law for the DFT cell and can differ from measured ones.

Most intense lines, 15 to 90 degrees two-theta, most intense first:
Position (°2θ)	d/Å	I/Imax	index
32.86	2.725	100	1 1 2
32.05	2.792	75	1 0 3
21.51	4.131	54	1 0 1
40.29	2.238	47	2 0 0
52.39	1.746	38	2 1 3
47.00	1.933	26	1 0 5
28.19	3.165	25	1 1 0
68.56	1.369	24	3 1 2
63.59	1.463	22	2 1 5
59.41	1.556	17	1 1 6

Atomic structure:
```
data_Ac2Al3Zn5
_chemical_formula_sum 'Ac2 Al3 Zn5'
_space_group_name_H-M_alt 'P -4 m 2'
_space_group_IT_number 115
_cell_length_a 4.477
_cell_length_b 4.477
_cell_length_c 10.718
_cell_angle_alpha 90.00
_cell_angle_beta 90.00
_cell_angle_gamma 90.00
loop_
_space_group_symop_operation_xyz
'x,y,z'
'y,-x,-z'
'-x,-y,z'
'-y,x,-z'
'-x,y,z'
'-y,-x,-z'
'x,-y,z'
'y,x,-z'
loop_
_atom_site_label
_atom_site_type_symbol
_atom_site_fract_x
_atom_site_fract_y
_atom_site_fract_z
Ac1 Ac 0.000 0.500 0.244
Al1 Al 0.000 0.500 0.638
Al2 Al 0.500 0.500 0.500
Zn1 Zn 0.000 0.000 0.000
Zn2 Zn 0.000 0.000 0.500
Zn3 Zn 0.000 0.500 0.878
Zn4 Zn 0.500 0.500 0.000
```